Structure and calculated X-ray diffraction stick pattern of Mn7F16 (a cell relaxed with PBE+U; a wavelength of 1.5418 Å).
No peak broadening, texture or thermal motion is included.

Cell and atoms:
```
data_Mn7F16
_chemical_formula_sum 'Mn21 F48'
_symmetry_space_group_name_H-M 'R -3'
_symmetry_Int_Tables_number 148
_symmetry_space_group_name_Hall '-R 3'
_cell_length_a 6.5601
_cell_length_b 6.5601
_cell_length_c 26.3666
_cell_angle_alpha 90.00
_cell_angle_beta 90.00
_cell_angle_gamma 120.00
loop_
_atom_site_label
_atom_site_type_symbol
_atom_site_fract_x
_atom_site_fract_y
_atom_site_fract_z
Mn1 Mn 0.0000 0.0000 0.0000
Mn2 Mn 0.0035 0.3647 0.8870
F1 F 0.0000 0.0000 0.2361
F2 F 0.0000 0.0000 0.4294
F3 F 0.0091 0.2388 0.9579
F4 F 0.0182 0.2801 0.1383
```

Most intense lines, 2θ from 10° to 90°, sorted by position:
hkl 0 0 3, 10.1 deg, I = 68; hkl 1 0 1, 16.0 deg, I = 11; hkl 0 1 2, 17.0 deg, I = 13; hkl 1 0 4, 20.6 deg, I = 21; hkl 0 1 5, 23.0 deg, I = 18; hkl 1 1 3, 29.1 deg, I = 100; hkl 0 0 9, 30.5 deg, I = 24; hkl 1 2 5, 45.6 deg, I = 10; hkl 3 0 0, 48.0 deg, I = 37; hkl 1 1 12, 50.0 deg, I = 36; hkl 0 3 9, 58.0 deg, I = 24; hkl 2 -1 15, 59.7 deg, I = 17